(1)
For Tb7Sm3Th2, a DFT-relaxed cell (GGA-PBE, Alexandria) gives the simulated X-ray diffraction stick pattern in this record (CuKα).
Lines closer than 0.1° are merged.

Peak list (6 most intense, 10° ≤ 2θ ≤ 80°, low angle first)
hkl 1 1 3, d = 2.925 Å, I 100.0
hkl 0 0 6, d = 2.911 Å, I 33.0
hkl 1 1 -3, d = 2.533 Å, I 45.3
hkl 0 2 5, d = 2.524 Å, I 22.2
hkl 0 2 -7, d = 1.786 Å, I 23.9
hkl 2 0 7, d = 1.527 Å, I 19.2

Structural model:
```
data_Tb7Sm3Th2
_chemical_formula_sum 'Tb7 Sm3 Th2'
_cell_length_a 3.5900
_cell_length_b 6.1990
_cell_length_c 17.8172
_cell_angle_alpha 80.15
_cell_angle_beta 84.26
_cell_angle_gamma 89.99
_symmetry_space_group_name_H-M 'P -1'
_symmetry_Int_Tables_number 2
_symmetry_space_group_name_Hall '-P 1'
loop_
_atom_site_label
_atom_site_type_symbol
_atom_site_fract_x
_atom_site_fract_y
_atom_site_fract_z
_atom_site_occupancy
Tb1 Tb 0.0000 0.0000 0.0000 1
Tb2 Tb 0.0848 0.4136 0.8312 1
Tb3 Tb 0.2491 0.2576 0.5024 1
Tb4 Tb 0.4163 0.0793 0.1672 1
Sm1 Sm 0.1657 0.8350 0.6663 1
Sm2 Sm 0.5000 0.5000 0.0000 1
Th1 Th 0.3340 0.6681 0.3326 1
```



(2)
For AgBr3, a DFT-relaxed cell (GGA-PBE, Alexandria) gives the simulated X-ray diffraction stick pattern in this record (CuKα).
Lines closer than 0.1° are merged.

Peak list (6 most intense, 10° ≤ 2θ ≤ 80°, low angle first)
hkl 0 1 2, d = 3.169 Å, I 100.0
hkl 0 1 3, d = 2.651 Å, I 27.4
hkl 1 0 2, d = 2.496 Å, I 51.5
hkl 1 1 0, d = 2.284 Å, I 61.1
hkl 0 1 4, d = 2.224 Å, I 27.6
hkl 1 1 6, d = 1.415 Å, I 24.8

Structural model:
```
data_AgBr3
_chemical_formula_sum 'Ag1 Br3'
_cell_length_a 2.8135
_cell_length_b 3.9092
_cell_length_c 10.8204
_cell_angle_alpha 90.00
_cell_angle_beta 90.00
_cell_angle_gamma 90.00
_symmetry_space_group_name_H-M 'P m m m'
_symmetry_Int_Tables_number 47
_symmetry_space_group_name_Hall '-P 2 2'
loop_
_atom_site_label
_atom_site_type_symbol
_atom_site_fract_x
_atom_site_fract_y
_atom_site_fract_z
_atom_site_occupancy
Ag1 Ag 0.0000 0.0000 0.0000 1
Br1 Br 0.0000 0.0000 0.5000 1
Br2 Br 0.5000 0.5000 0.1736 1
```



(3)
For Na2La3TmSe6, a DFT-relaxed cell (GGA-PBE, Alexandria) gives the simulated X-ray diffraction stick pattern in this record (CuKα).
Lines closer than 0.1° are merged.

Peak list (6 most intense, 10° ≤ 2θ ≤ 80°, low angle first)
hkl 2 0 -2, d = 3.001 Å, I 100.0
hkl 3 3 -1, d = 2.133 Å, I 37.5
hkl 1 3 -3, d = 2.111 Å, I 36.3
hkl 2 6 -2, d = 1.737 Å, I 13.0
hkl 4 0 -4, d = 1.500 Å, I 11.8
hkl 5 3 -3, d = 1.347 Å, I 10.9

Structural model:
```
data_Na2La3TmSe6
_chemical_formula_sum 'Na4 La6 Tm2 Se12'
_cell_length_a 7.3968
_cell_length_b 12.7864
_cell_length_c 7.2832
_cell_angle_alpha 90.00
_cell_angle_beta 109.65
_cell_angle_gamma 90.00
_symmetry_space_group_name_H-M 'C 1 2/m 1'
_symmetry_Int_Tables_number 12
_symmetry_space_group_name_Hall '-C 2y'
loop_
_atom_site_label
_atom_site_type_symbol
_atom_site_fract_x
_atom_site_fract_y
_atom_site_fract_z
_atom_site_occupancy
Na1 Na 0.0000 0.1652 0.0000 1
La1 La 0.0000 0.0000 0.5000 1
La2 La 0.0000 0.3285 0.5000 1
Tm1 Tm 0.0000 0.5000 0.0000 1
Se1 Se 0.2393 0.5000 0.7558 1
Se2 Se 0.2401 0.3390 0.2370 1
```



(4)
For Cs5Rb2Hg2, a DFT-relaxed cell (GGA-PBE, Alexandria) gives the simulated X-ray diffraction stick pattern in this record (CuKα).
Lines closer than 0.1° are merged.

Peak list (6 most intense, 10° ≤ 2θ ≤ 80°, low angle first)
hkl 3 1 1, d = 4.084 Å, I 97.9
hkl 1 1 2, d = 3.826 Å, I 70.0
hkl 3 1 -2, d = 3.652 Å, I 93.4
hkl 5 1 0, d = 3.483 Å, I 86.2
hkl 3 1 2, d = 3.300 Å, I 72.8
hkl 0 2 0, d = 3.078 Å, I 100.0

Structural model:
```
data_Cs5Rb2Hg2
_chemical_formula_sum 'Cs10 Rb4 Hg4'
_cell_length_a 21.4023
_cell_length_b 6.1535
_cell_length_c 10.5459
_cell_angle_alpha 90.00
_cell_angle_beta 98.89
_cell_angle_gamma 90.00
_symmetry_space_group_name_H-M 'C 1 2/m 1'
_symmetry_Int_Tables_number 12
_symmetry_space_group_name_Hall '-C 2y'
loop_
_atom_site_label
_atom_site_type_symbol
_atom_site_fract_x
_atom_site_fract_y
_atom_site_fract_z
_atom_site_occupancy
Cs1 Cs 0.0000 0.0000 0.0000 1
Cs2 Cs 0.1667 0.5000 0.9630 1
Cs3 Cs 0.1948 0.0000 0.6187 1
Rb1 Rb 0.0688 0.5000 0.3436 1
Hg1 Hg 0.1782 0.0000 0.2267 1
```



(5)
For PuSi3Ni3, a DFT-relaxed cell (GGA-PBE, Alexandria) gives the simulated X-ray diffraction stick pattern in this record (CuKα).
Lines closer than 0.1° are merged.

Peak list (6 most intense, 10° ≤ 2θ ≤ 80°, low angle first)
hkl 1 1 -1, d = 3.412 Å, I 100.0
hkl 1 1 -2, d = 2.797 Å, I 67.5
hkl 2 1 -1, d = 2.645 Å, I 63.5
hkl 2 1 0, d = 2.477 Å, I 66.7
hkl 1 1 2, d = 2.186 Å, I 65.2
hkl 0 2 0, d = 2.045 Å, I 63.4

Structural model:
```
data_PuSi3Ni3
_chemical_formula_sum 'Pu2 Si6 Ni6'
_cell_length_a 6.9352
_cell_length_b 4.0901
_cell_length_c 7.7309
_cell_angle_alpha 90.00
_cell_angle_beta 116.11
_cell_angle_gamma 90.00
_symmetry_space_group_name_H-M 'P 1 21/m 1'
_symmetry_Int_Tables_number 11
_symmetry_space_group_name_Hall '-P 2yb'
loop_
_atom_site_label
_atom_site_type_symbol
_atom_site_fract_x
_atom_site_fract_y
_atom_site_fract_z
_atom_site_occupancy
Pu1 Pu 0.0753 0.2500 0.3570 1
Si1 Si 0.1158 0.7500 0.0817 1
Si2 Si 0.2821 0.2500 0.7742 1
Si3 Si 0.3909 0.7500 0.6382 1
Ni1 Ni 0.2617 0.2500 0.0716 1
Ni2 Ni 0.3795 0.7500 0.9513 1
Ni3 Ni 0.4356 0.7500 0.3524 1
```



(6)
For Ce2MnNi9, a DFT-relaxed cell (GGA-PBE, Alexandria) gives the simulated X-ray diffraction stick pattern in this record (CuKα).
Lines closer than 0.1° are merged.

Peak list (6 most intense, 10° ≤ 2θ ≤ 80°, low angle first)
hkl 1 0 7, d = 2.691 Å, I 43.4
hkl 0 1 8, d = 2.477 Å, I 54.0
hkl 1 1 0, d = 2.429 Å, I 55.7
hkl 0 2 1, d = 2.096 Å, I 45.9
hkl 1 1 6, d = 2.088 Å, I 100.0
hkl 2 0 5, d = 1.933 Å, I 48.7

Structural model:
```
data_Ce2MnNi9
_chemical_formula_sum 'Ce6 Mn3 Ni27'
_cell_length_a 4.8581
_cell_length_b 4.8581
_cell_length_c 24.5122
_cell_angle_alpha 90.00
_cell_angle_beta 90.00
_cell_angle_gamma 120.00
_symmetry_space_group_name_H-M 'R -3 m'
_symmetry_Int_Tables_number 166
_symmetry_space_group_name_Hall '-R 3 2"'
loop_
_atom_site_label
_atom_site_type_symbol
_atom_site_fract_x
_atom_site_fract_y
_atom_site_fract_z
_atom_site_occupancy
Ce1 Ce 0.0000 0.0000 0.1342 1
Mn1 Mn 0.0000 0.0000 0.0000 1
Ni1 Ni 0.0000 0.0000 0.3329 1
Ni2 Ni 0.0000 0.0000 0.5000 1
Ni3 Ni 0.0006 0.5003 0.9192 1
```



(7)
For Tb8Nd5Y, a DFT-relaxed cell (GGA-PBE, Alexandria) gives the simulated X-ray diffraction stick pattern in this record (CuKα).
Lines closer than 0.1° are merged.

Peak list (6 most intense, 10° ≤ 2θ ≤ 80°, low angle first)
hkl 1 1 -3, d = 3.007 Å, I 36.4
hkl 3 1 -3, d = 2.890 Å, I 48.3
hkl 6 0 -2, d = 2.877 Å, I 100.0
hkl 4 0 -6, d = 2.777 Å, I 45.1
hkl 3 1 1, d = 2.739 Å, I 43.6
hkl 6 2 -2, d = 1.516 Å, I 29.1

Structural model:
```
data_Tb8Nd5Y
_chemical_formula_sum 'Tb16 Nd10 Y2'
_cell_length_a 17.4728
_cell_length_b 3.5683
_cell_length_c 16.9860
_cell_angle_alpha 90.00
_cell_angle_beta 118.24
_cell_angle_gamma 90.00
_symmetry_space_group_name_H-M 'C 1 2/m 1'
_symmetry_Int_Tables_number 12
_symmetry_space_group_name_Hall '-C 2y'
loop_
_atom_site_label
_atom_site_type_symbol
_atom_site_fract_x
_atom_site_fract_y
_atom_site_fract_z
_atom_site_occupancy
Tb1 Tb 0.0778 0.0000 0.2212 1
Tb2 Tb 0.0814 0.5000 0.7234 1
Tb3 Tb 0.1468 0.0000 0.9412 1
Tb4 Tb 0.2164 0.0000 0.6460 1
Nd1 Nd 0.0000 0.0000 0.5000 1
Nd2 Nd 0.1448 0.5000 0.4403 1
Nd3 Nd 0.2138 0.5000 0.1440 1
Y1 Y 0.0000 0.5000 0.0000 1
```



(8)
For La8HIr3I3, a DFT-relaxed cell (GGA-PBE, Alexandria) gives the simulated X-ray diffraction stick pattern in this record (CuKα).
Lines closer than 0.1° are merged.

Peak list (6 most intense, 10° ≤ 2θ ≤ 80°, low angle first)
hkl 0 0 1, d = 8.077 Å, I 29.1
hkl 2 2 -2, d = 3.130 Å, I 100.0
hkl 4 0 1, d = 2.514 Å, I 19.2
hkl 4 0 -4, d = 2.333 Å, I 28.6
hkl 0 4 0, d = 2.111 Å, I 38.1
hkl 8 0 -4, d = 1.750 Å, I 18.5

Structural model:
```
data_La8HIr3I3
_chemical_formula_sum 'La16 H2 Ir6 I6'
_cell_length_a 14.6205
_cell_length_b 8.4476
_cell_length_c 9.4303
_cell_angle_alpha 90.00
_cell_angle_beta 121.08
_cell_angle_gamma 90.00
_symmetry_space_group_name_H-M 'C 1 2/m 1'
_symmetry_Int_Tables_number 12
_symmetry_space_group_name_Hall '-C 2y'
loop_
_atom_site_label
_atom_site_type_symbol
_atom_site_fract_x
_atom_site_fract_y
_atom_site_fract_z
_atom_site_occupancy
La1 La 0.0217 0.2454 0.3106 1
La2 La 0.2299 0.0000 0.6896 1
La3 La 0.2322 0.5000 0.6888 1
H1 H 0.0000 0.5000 0.5000 1
Ir1 Ir 0.0000 0.0000 0.5000 1
Ir2 Ir 0.2500 0.2500 0.5000 1
I1 I 0.0000 0.5000 0.0000 1
I2 I 0.2500 0.2500 0.0000 1
```



(9)
For Er2LuBi, a DFT-relaxed cell (GGA-PBE, Alexandria) gives the simulated X-ray diffraction stick pattern in this record (CuKα).
Lines closer than 0.1° are merged.

Peak list (6 most intense, 10° ≤ 2θ ≤ 80°, low angle first)
hkl 1 0 4, d = 2.892 Å, I 100.0
hkl 0 0 12, d = 2.685 Å, I 27.0
hkl 0 1 8, d = 2.456 Å, I 63.9
hkl 1 1 0, d = 1.789 Å, I 25.2
hkl 1 0 16, d = 1.689 Å, I 20.4
hkl 1 1 12, d = 1.489 Å, I 27.8

Structural model:
```
data_Er2LuBi
_chemical_formula_sum 'Er6 Lu3 Bi3'
_cell_length_a 3.5785
_cell_length_b 3.5785
_cell_length_c 32.2191
_cell_angle_alpha 90.00
_cell_angle_beta 90.00
_cell_angle_gamma 120.00
_symmetry_space_group_name_H-M 'R -3 m'
_symmetry_Int_Tables_number 166
_symmetry_space_group_name_Hall '-R 3 2"'
loop_
_atom_site_label
_atom_site_type_symbol
_atom_site_fract_x
_atom_site_fract_y
_atom_site_fract_z
_atom_site_occupancy
Er1 Er 0.0000 0.0000 0.2478 1
Lu1 Lu 0.0000 0.0000 0.0000 1
Bi1 Bi 0.0000 0.0000 0.5000 1
```



(10)
For RbRuCl6, a DFT-relaxed cell (GGA-PBE, Alexandria) gives the simulated X-ray diffraction stick pattern in this record (CuKα).
Lines closer than 0.1° are merged.

Peak list (6 most intense, 10° ≤ 2θ ≤ 80°, low angle first)
hkl 1 0 1, d = 5.685 Å, I 35.8
hkl 0 1 2, d = 5.028 Å, I 100.0
hkl 1 0 4, d = 3.676 Å, I 83.5
hkl 2 0 2, d = 2.842 Å, I 56.2
hkl 1 1 6, d = 2.309 Å, I 53.9
hkl 2 1 4, d = 2.031 Å, I 38.0

Structural model:
```
data_RbRuCl6
_chemical_formula_sum 'Rb3 Ru3 Cl18'
_cell_length_a 6.8915
_cell_length_b 6.8915
_cell_length_c 18.6624
_cell_angle_alpha 90.00
_cell_angle_beta 90.00
_cell_angle_gamma 120.00
_symmetry_space_group_name_H-M 'R -3 m'
_symmetry_Int_Tables_number 166
_symmetry_space_group_name_Hall '-R 3 2"'
loop_
_atom_site_label
_atom_site_type_symbol
_atom_site_fract_x
_atom_site_fract_y
_atom_site_fract_z
_atom_site_occupancy
Rb1 Rb 0.0000 0.0000 0.0000 1
Ru1 Ru 0.0000 0.0000 0.5000 1
Cl1 Cl 0.0158 0.5079 0.0947 1
```



(11)
For Pm2Sn3Rh4, a DFT-relaxed cell (GGA-PBE, Alexandria) gives the simulated X-ray diffraction stick pattern in this record (CuKα).
Lines closer than 0.1° are merged.

Peak list (6 most intense, 10° ≤ 2θ ≤ 80°, low angle first)
hkl 1 5 1, d = 2.680 Å, I 84.8
hkl 2 2 1, d = 2.652 Å, I 44.1
hkl 0 2 3, d = 2.366 Å, I 37.4
hkl 2 0 2, d = 2.346 Å, I 100.0
hkl 0 6 2, d = 2.194 Å, I 33.8
hkl 2 6 4, d = 1.367 Å, I 25.0

Structural model:
```
data_Pm2Sn3Rh4
_chemical_formula_sum 'Pm8 Sn12 Rh16'
_cell_length_a 6.0581
_cell_length_b 16.3221
_cell_length_c 7.4180
_cell_angle_alpha 90.00
_cell_angle_beta 90.00
_cell_angle_gamma 90.00
_symmetry_space_group_name_H-M 'C m c e'
_symmetry_Int_Tables_number 64
_symmetry_space_group_name_Hall '-C 2ac 2'
loop_
_atom_site_label
_atom_site_type_symbol
_atom_site_fract_x
_atom_site_fract_y
_atom_site_fract_z
_atom_site_occupancy
Pm1 Pm 0.0000 0.1037 0.0793 1
Sn1 Sn 0.0000 0.0000 0.5000 1
Sn2 Sn 0.2500 0.2352 0.7500 1
Rh1 Rh 0.0000 0.1711 0.4767 1
Rh2 Rh 0.2500 0.0709 0.7500 1
```



(12)
For SmAl4Pt2, a DFT-relaxed cell (GGA-PBE, Alexandria) gives the simulated X-ray diffraction stick pattern in this record (CuKα).
Lines closer than 0.1° are merged.

Peak list (6 most intense, 10° ≤ 2θ ≤ 80°, low angle first)
hkl 2 0 2, d = 3.105 Å, I 68.6
hkl 4 1 0, d = 3.065 Å, I 96.3
hkl 2 1 2, d = 2.519 Å, I 100.0
hkl 5 1 1, d = 2.508 Å, I 55.5
hkl 7 0 1, d = 2.329 Å, I 41.4
hkl 0 2 0, d = 2.155 Å, I 49.5

Structural model:
```
data_SmAl4Pt2
_chemical_formula_sum 'Sm4 Al16 Pt8'
_cell_length_a 17.4092
_cell_length_b 4.3095
_cell_length_c 6.6481
_cell_angle_alpha 90.00
_cell_angle_beta 90.00
_cell_angle_gamma 90.00
_symmetry_space_group_name_H-M 'P n m a'
_symmetry_Int_Tables_number 62
_symmetry_space_group_name_Hall '-P 2ac 2n'
loop_
_atom_site_label
_atom_site_type_symbol
_atom_site_fract_x
_atom_site_fract_y
_atom_site_fract_z
_atom_site_occupancy
Sm1 Sm 0.1395 0.2500 0.0122 1
Al1 Al 0.0348 0.7500 0.8403 1
Al2 Al 0.0701 0.2500 0.4912 1
Al3 Al 0.1860 0.7500 0.3227 1
Al4 Al 0.1938 0.7500 0.7272 1
Pt1 Pt 0.0377 0.7500 0.2464 1
Pt2 Pt 0.2152 0.2500 0.5270 1
```



(13)
For Ac6Tb3Pm, a DFT-relaxed cell (GGA-PBE, Alexandria) gives the simulated X-ray diffraction stick pattern in this record (CuKα).
Lines closer than 0.1° are merged.

Peak list (6 most intense, 10° ≤ 2θ ≤ 80°, low angle first)
hkl 0 0 5, d = 3.037 Å, I 100.0
hkl 0 1 3, d = 3.031 Å, I 13.9
hkl 2 1 2, d = 2.851 Å, I 11.2
hkl 4 1 -2, d = 2.560 Å, I 11.0
hkl 4 0 -9, d = 1.755 Å, I 10.8
hkl 0 2 5, d = 1.605 Å, I 31.4

Structural model:
```
data_Ac6Tb3Pm
_chemical_formula_sum 'Ac12 Tb6 Pm2'
_cell_length_a 14.0028
_cell_length_b 3.7811
_cell_length_c 16.0905
_cell_angle_alpha 90.00
_cell_angle_beta 109.01
_cell_angle_gamma 90.00
_symmetry_space_group_name_H-M 'P 1 21/m 1'
_symmetry_Int_Tables_number 11
_symmetry_space_group_name_Hall '-P 2yb'
loop_
_atom_site_label
_atom_site_type_symbol
_atom_site_fract_x
_atom_site_fract_y
_atom_site_fract_z
_atom_site_occupancy
Ac1 Ac 0.0167 0.2500 0.4029 1
Ac2 Ac 0.0499 0.7500 0.2000 1
Ac3 Ac 0.2055 0.7500 0.8070 1
Ac4 Ac 0.3279 0.7500 0.2218 1
Ac5 Ac 0.3784 0.2500 0.0189 1
Ac6 Ac 0.4557 0.7500 0.5942 1
Tb1 Tb 0.1128 0.7500 0.9972 1
Tb2 Tb 0.2202 0.2500 0.6085 1
Tb3 Tb 0.2698 0.2500 0.3981 1
Pm1 Pm 0.4291 0.2500 0.7986 1
```